Structure and theoretical X-ray diffraction stick pattern of CsKNaIn (a DFT-relaxed cell (GGA-PBE, Alexandria); Cu Kα).

Top 6 peaks for 15 to 90 degrees two-theta, in order of falling intensity:
hkl 2 2 0, 28.0°, I = 100; hkl 4 2 2, 49.6°, I = 39; hkl 2 0 0, 19.7°, I = 39; hkl 6 4 2, 79.7°, I = 19; hkl 4 0 0, 40.0°, I = 19; hkl 4 2 0, 45.0°, I = 18

Cell: 9.006 9.006 9.006 Å, 90.00 90.00 90.00°
Fractional positions:
Cs1 0.000 0.000 0.000
Cs2 0.000 0.500 0.500
Cs3 0.500 0.000 0.500
Cs4 0.500 0.500 0.000
K1 0.250 0.250 0.750
K2 0.250 0.750 0.250
K3 0.750 0.250 0.250
K4 0.750 0.750 0.750
Na1 0.250 0.250 0.250
Na2 0.250 0.750 0.750
Na3 0.750 0.250 0.750
Na4 0.750 0.750 0.250
In1 0.000 0.000 0.500
In2 0.000 0.500 0.000
In3 0.500 0.000 0.000
In4 0.500 0.500 0.500